Starting from a structure optimized by DFT (GGA-PBE), the X-ray powder pattern of K2CrCu was simulated for λ = 1.5418 Å (Cu Kα).
Neutral-atom scattering factors, no anomalous dispersion.

Most intense lines, 5 to 70 degrees two-theta, in order of rising 2θ:
- 2θ 8.8, rel. 100
- 2θ 26.5, rel. 24
- 2θ 35.0, rel. 34
- 2θ 35.6, rel. 17
- 2θ 36.1, rel. 14
- 2θ 44.4, rel. 22

Cell and atoms:
Cell lengths 3.463, 3.819, 10.097 Å; angles 90.00, 90.00, 90.00 degrees
Space group Pmm2 (No. 25)
Unique sites:
1 K 0.000 0.000 0.000
2 K 0.500 0.500 0.409
3 Cr 0.000 0.000 0.679
4 Cu 0.500 0.500 0.737